Computed X-ray powder pattern
Compound: NaTl2PtCl6
Radiation: Cu Kα, 1.54184 Å
Structure: DFT lattice parameters and positions (GGA-PBE)
Intensities are scaled so that the largest is 100.

Top 10 peaks for 2θ = 10–80°, in order of rising 2θ:
hkl 0 0 1, 2θ = 13.06°, intensity 100; hkl 0 1 1, 2θ = 19.47°, intensity 61; hkl 1 1 0, 2θ = 25.05°, intensity 93; hkl 1 1 1, 2θ = 28.35°, intensity 67; hkl 0 1 2, 2θ = 30.09°, intensity 60; hkl 2 0 1, 2θ = 31.93°, intensity 75; hkl 2 0 2, 2θ = 39.54°, intensity 61; hkl 3 0 0, 2θ = 44.13°, intensity 22; hkl 1 2 2, 2θ = 47.38°, intensity 37; hkl 2 2 0, 2θ = 51.41°, intensity 30

Cell and atoms:
```
data_NaTl2PtCl6
_chemical_formula_sum 'Na1 Tl2 Pt1 Cl6'
_symmetry_space_group_name_H-M 'P -3 m 1'
_symmetry_Int_Tables_number 164
_symmetry_space_group_name_Hall '-P 3 2"'
_cell_length_a 7.1093
_cell_length_b 7.1093
_cell_length_c 6.7803
_cell_angle_alpha 90.00
_cell_angle_beta 90.00
_cell_angle_gamma 120.00
loop_
_atom_site_label
_atom_site_fract_x
_atom_site_fract_y
_atom_site_fract_z
Na1 0.0000 0.0000 0.0000
Tl1 0.3333 0.6667 0.6518
Pt1 0.0000 0.0000 0.5000
Cl1 0.1618 0.3236 0.2916
```

***

Computed X-ray powder pattern
Compound: Cs2MgVBr6
Radiation: Cu Kα, 1.54184 Å
Structure: DFT lattice parameters and positions (GGA-PBE)
Intensities are scaled so that the largest is 100.

Top 10 peaks for 2θ = 10–80°, in order of rising 2θ:
hkl 2 2 0, 2θ = 23.25°, intensity 16; hkl 2 2 2, 2θ = 28.57°, intensity 100; hkl 4 0 0, 2θ = 33.11°, intensity 76; hkl 4 2 2, 2θ = 40.85°, intensity 7; hkl 4 4 0, 2θ = 47.53°, intensity 54; hkl 6 2 2, 2θ = 56.40°, intensity 43; hkl 4 4 4, 2θ = 59.15°, intensity 18; hkl 8 0 0, 2θ = 69.49°, intensity 8; hkl 6 6 2, 2θ = 76.79°, intensity 18; hkl 8 4 0, 2θ = 79.17°, intensity 24

Cell and atoms:
```
data_Cs2MgVBr6
_chemical_formula_sum 'Cs8 Mg4 V4 Br24'
_symmetry_space_group_name_H-M 'F m -3 m'
_symmetry_Int_Tables_number 225
_symmetry_space_group_name_Hall '-F 4 2 3'
_cell_length_a 10.8213
_cell_length_b 10.8213
_cell_length_c 10.8213
_cell_angle_alpha 90.00
_cell_angle_beta 90.00
_cell_angle_gamma 90.00
loop_
_atom_site_label
_atom_site_fract_x
_atom_site_fract_y
_atom_site_fract_z
Cs1 0.2500 0.2500 0.2500
Mg1 0.0000 0.0000 0.0000
V1 0.0000 0.0000 0.5000
Br1 0.0000 0.0000 0.2519
```

***

Computed X-ray powder pattern
Compound: Al3Ag2
Radiation: Cu Kα, 1.54184 Å
Structure: DFT lattice parameters and positions (GGA-PBE)
Intensities are scaled so that the largest is 100.

Top 10 peaks for 2θ = 10–80°, in order of rising 2θ:
hkl 0 0 2, 2θ = 15.55°, intensity 79; hkl 0 0 3, 2θ = 23.41°, intensity 33; hkl 1 0 0, 2θ = 35.30°, intensity 22; hkl 1 0 1, 2θ = 36.20°, intensity 83; hkl 1 0 2, 2θ = 38.78°, intensity 100; hkl 0 0 5, 2θ = 39.53°, intensity 40; hkl 0 1 3, 2θ = 42.79°, intensity 76; hkl 0 1 4, 2θ = 47.95°, intensity 36; hkl 1 1 0, 2θ = 63.36°, intensity 28; hkl 1 1 5, 2θ = 77.31°, intensity 31

Cell and atoms:
```
data_Al3Ag2
_chemical_formula_sum 'Al3 Ag2'
_symmetry_space_group_name_H-M 'P -3 m 1'
_symmetry_Int_Tables_number 164
_symmetry_space_group_name_Hall '-P 3 2"'
_cell_length_a 2.9359
_cell_length_b 2.9359
_cell_length_c 11.3998
_cell_angle_alpha 90.00
_cell_angle_beta 90.00
_cell_angle_gamma 120.00
loop_
_atom_site_label
_atom_site_fract_x
_atom_site_fract_y
_atom_site_fract_z
Al1 0.0000 0.0000 0.0000
Al2 0.3333 0.6667 0.4012
Ag1 0.3333 0.6667 0.8001
```

***

Computed X-ray powder pattern
Compound: Tm2Zn3In3
Radiation: Cu Kα, 1.54184 Å
Structure: DFT lattice parameters and positions (GGA-PBE)
Intensities are scaled so that the largest is 100.

Top 10 peaks for 2θ = 10–80°, in order of rising 2θ:
hkl 1 0 0, 2θ = 20.33°, intensity 7; hkl 0 1 2, 2θ = 28.57°, intensity 6; hkl 1 1 2, 2θ = 35.32°, intensity 100; hkl 0 2 0, 2θ = 40.85°, intensity 33; hkl 2 0 0, 2θ = 41.33°, intensity 16; hkl 0 2 4, 2θ = 59.14°, intensity 11; hkl 2 2 0, 2θ = 59.51°, intensity 21; hkl 1 3 2, 2θ = 70.80°, intensity 25; hkl 3 1 2, 2θ = 71.47°, intensity 12; hkl 2 2 4, 2θ = 74.70°, intensity 11

Cell and atoms:
```
data_Tm2Zn3In3
_chemical_formula_sum 'Tm2 Zn3 In3'
_symmetry_space_group_name_H-M 'P m m m'
_symmetry_Int_Tables_number 47
_cell_length_a 4.3691
_cell_length_b 4.4164
_cell_length_c 8.8407
_cell_angle_alpha 90.00
_cell_angle_beta 90.00
_cell_angle_gamma 90.00
loop_
_symmetry_equiv_pos_as_xyz
'x,y,z'
'-x,-y,-z'
'-x,-y,z'
'x,y,-z'
'x,-y,-z'
'-x,y,z'
'-x,y,-z'
'x,-y,z'
loop_
_atom_site_label
_atom_site_fract_x
_atom_site_fract_y
_atom_site_fract_z
Tm1 0.0000 0.0000 0.2441
Zn1 0.5000 0.0000 0.0000
Zn2 0.5000 0.5000 0.2382
In1 0.0000 0.5000 0.0000
In2 0.0000 0.5000 0.5000
In3 0.5000 0.0000 0.5000
```